Entry 1:
For MnZn3, a DFT-relaxed cell (PBE, the Materials Project) gives the calculated XRD peak list in this record (copper Kα).
Intensities are scaled so that the largest is 100.

Largest 10 diffraction maxima, sorted by position, 2θ = 10–90°:
- 38.13 deg, intensity 25
- 41.21 deg, intensity 26
- 43.56 deg, intensity 100
- 57.39 deg, intensity 14
- 68.92 deg, intensity 16
- 76.75 deg, intensity 16
- 81.59 deg, intensity 2
- 83.57 deg, intensity 17
- 85.16 deg, intensity 13
- 89.48 deg, intensity 2

Crystal structure
Cell: 2.725 2.725 8.762 Å, 90.00 90.00 120.00°
Positions (direct):
Mn 0.000 0.000 0.000
Zn 0.000 0.000 0.500
Zn 0.667 0.333 0.241
Zn 0.667 0.333 0.759



Entry 2:
For MnZn3, a DFT-relaxed cell (PBE, the Materials Project) gives the calculated XRD peak list in this record (copper Kα).
Intensities are scaled so that the largest is 100.

Largest 10 diffraction maxima, sorted by position, 2θ = 10–90°:
- 27.84 deg, intensity 1
- 37.97 deg, intensity 25
- 41.51 deg, intensity 26
- 43.49 deg, intensity 100
- 57.51 deg, intensity 14
- 68.59 deg, intensity 16
- 77.11 deg, intensity 16
- 81.18 deg, intensity 2
- 83.47 deg, intensity 18
- 84.81 deg, intensity 13

Crystal structure
Cell: 5.473 5.473 4.351 Å, 90.00 90.00 120.00°
Positions (direct):
Mn 0.333 0.667 0.250
Mn 0.667 0.333 0.750
Zn 0.168 0.337 0.750
Zn 0.168 0.832 0.750
Zn 0.337 0.168 0.250
Zn 0.663 0.832 0.750
Zn 0.832 0.168 0.250
Zn 0.832 0.663 0.250



Entry 3:
For Zr3Mn, a DFT-relaxed cell (PBE, the Materials Project) gives the calculated XRD peak list in this record (copper Kα).
Intensities are scaled so that the largest is 100.

Largest 10 diffraction maxima, sorted by position, 2θ = 10–90°:
- 22.85 deg, intensity 4
- 35.51 deg, intensity 100
- 39.86 deg, intensity 18
- 41.90 deg, intensity 31
- 59.21 deg, intensity 21
- 60.75 deg, intensity 10
- 69.56 deg, intensity 13
- 72.38 deg, intensity 23
- 75.16 deg, intensity 10
- 85.97 deg, intensity 2

Crystal structure
Cell: 4.312 4.312 9.046 Å, 90.00 90.00 90.00°
Positions (direct):
Zr 0.000 0.000 0.000
Zr 0.000 0.500 0.250
Zr 0.000 0.500 0.750
Zr 0.500 0.000 0.250
Zr 0.500 0.000 0.750
Zr 0.500 0.500 0.500
Mn 0.000 0.000 0.500
Mn 0.500 0.500 0.000



Entry 4:
For Zr3Mn, a DFT-relaxed cell (PBE, the Materials Project) gives the calculated XRD peak list in this record (copper Kα).
Intensities are scaled so that the largest is 100.

Largest 10 diffraction maxima, sorted by position, 2θ = 10–90°:
- 20.31 deg, intensity 4
- 28.87 deg, intensity 3
- 35.56 deg, intensity 100
- 41.29 deg, intensity 49
- 46.43 deg, intensity 2
- 51.16 deg, intensity 1
- 59.81 deg, intensity 31
- 71.56 deg, intensity 36
- 75.27 deg, intensity 10
- 89.68 deg, intensity 5

Crystal structure
Cell: 4.373 4.373 4.373 Å, 90.00 90.00 90.00°
Positions (direct):
Zr 0.000 0.000 0.500
Zr 0.000 0.500 0.000
Zr 0.500 0.000 0.000
Mn 0.500 0.500 0.500



Entry 5:
For Zr4Mn, a DFT-relaxed cell (PBE, the Materials Project) gives the calculated XRD peak list in this record (copper Kα).
Intensities are scaled so that the largest is 100.

Largest 10 diffraction maxima, sorted by position, 2θ = 10–90°:
- 25.85 deg, intensity 10
- 31.80 deg, intensity 100
- 36.88 deg, intensity 34
- 40.32 deg, intensity 18
- 48.52 deg, intensity 19
- 53.14 deg, intensity 39
- 63.27 deg, intensity 29
- 68.76 deg, intensity 8
- 80.67 deg, intensity 8
- 87.16 deg, intensity 9

Crystal structure
Cell: 6.894 6.894 6.894 Å, 60.00 60.00 60.00°
Positions (direct):
Zr 0.206 0.765 0.765
Zr 0.235 0.235 0.235
Zr 0.235 0.235 0.794
Zr 0.235 0.794 0.235
Zr 0.765 0.206 0.765
Zr 0.765 0.765 0.206
Zr 0.765 0.765 0.765
Zr 0.794 0.235 0.235
Mn 0.375 0.375 0.375
Mn 0.625 0.625 0.625



Entry 6:
For Mo, a DFT-relaxed cell (PBE, the Materials Project) gives the calculated XRD peak list in this record (copper Kα).
Intensities are scaled so that the largest is 100.

Largest 10 diffraction maxima, sorted by position, 2θ = 10–90°:
- 36.83 deg, intensity 8
- 38.17 deg, intensity 44
- 39.32 deg, intensity 36
- 41.95 deg, intensity 100
- 47.70 deg, intensity 23
- 63.47 deg, intensity 9
- 66.35 deg, intensity 22
- 73.08 deg, intensity 19
- 79.94 deg, intensity 26
- 81.67 deg, intensity 14

Crystal structure
Cell: 2.818 2.818 9.166 Å, 90.00 90.00 120.00°
Positions (direct):
Mo 0.000 0.000 0.000
Mo 0.000 0.000 0.500
Mo 0.333 0.667 0.250
Mo 0.667 0.333 0.750



Entry 7:
For Mo, a DFT-relaxed cell (PBE, the Materials Project) gives the calculated XRD peak list in this record (copper Kα).
Intensities are scaled so that the largest is 100.

Largest 5 diffraction maxima, sorted by position, 2θ = 10–90°:
- 38.88 deg, intensity 100
- 45.20 deg, intensity 48
- 65.84 deg, intensity 30
- 79.18 deg, intensity 36
- 83.46 deg, intensity 11

Crystal structure
Cell: 4.012 4.012 4.012 Å, 90.00 90.00 90.00°
Positions (direct):
Mo 0.000 0.000 0.000
Mo 0.000 0.500 0.500
Mo 0.500 0.000 0.500
Mo 0.500 0.500 0.000



Entry 8:
For Mo, a DFT-relaxed cell (PBE, the Materials Project) gives the calculated XRD peak list in this record (copper Kα).
Intensities are scaled so that the largest is 100.

Largest 10 diffraction maxima, sorted by position, 2θ = 10–90°:
- 33.78 deg, intensity 56
- 37.18 deg, intensity 34
- 39.48 deg, intensity 31
- 40.41 deg, intensity 72
- 40.75 deg, intensity 100
- 42.25 deg, intensity 53
- 43.06 deg, intensity 62
- 47.10 deg, intensity 31
- 60.45 deg, intensity 29
- 74.56 deg, intensity 35

Crystal structure
Cell: 9.648 3.063 9.803 Å, 90.00 113.85 90.00°
Positions (direct):
Mo 0.043 0.246 0.126
Mo 0.043 0.754 0.626
Mo 0.197 0.256 0.908
Mo 0.197 0.744 0.408
Mo 0.325 0.243 0.229
Mo 0.325 0.757 0.729
Mo 0.446 0.252 0.576
Mo 0.446 0.748 0.076
Mo 0.554 0.252 0.924
Mo 0.554 0.748 0.424
Mo 0.675 0.243 0.271
Mo 0.675 0.757 0.771
Mo 0.803 0.256 0.592
Mo 0.803 0.744 0.092
Mo 0.957 0.246 0.374
Mo 0.957 0.754 0.874